ZrTl3Cl8: theoretical X-ray diffraction stick pattern (Cu Kα X-rays), based on a GGA-PBE-relaxed structure.

Top 10 peaks for 2θ from 10° to 90°, low angle first:
- hkl 1 1 2, 2θ = 21.41°, rel. 100
- hkl 2 0 0, 2θ = 23.89°, rel. 19
- hkl 0 0 4, 2θ = 26.45°, rel. 13
- hkl 2 2 0, 2θ = 34.05°, rel. 25
- hkl 2 0 4, 2θ = 35.94°, rel. 31
- hkl 3 1 2, 2θ = 40.57°, rel. 46
- hkl 2 2 4, 2θ = 43.62°, rel. 16
- hkl 1 1 6, 2θ = 43.81°, rel. 18
- hkl 3 1 6, 2θ = 56.62°, rel. 13
- hkl 4 2 4, 2θ = 62.17°, rel. 12

Atomic structure:
Cell: 7.448 7.448 13.478 Å, 90.00 90.00 90.00°
Space group I-42m (No. 121)
Asymmetric unit:
Zr 0.000 0.000 0.000 (multiplicity 2)
Tl 0.000 0.000 0.500 (multiplicity 2)
Tl 0.000 0.500 0.250 (multiplicity 4)
Cl 0.164 0.164 0.173 (multiplicity 8)
Cl 0.221 0.221 0.935 (multiplicity 8)

CdCu2NiC: theoretical X-ray diffraction stick pattern (Cu Kα X-rays), based on a GGA-PBE-relaxed structure.

Top 10 peaks for 2θ from 10° to 90°, low angle first:
- hkl 1 0 0, 2θ = 23.14°, rel. 8
- hkl 1 0 1, 2θ = 30.78°, rel. 3
- hkl 1 1 1, 2θ = 38.86°, rel. 100
- hkl 0 0 2, 2θ = 40.67°, rel. 25
- hkl 2 0 0, 2θ = 47.31°, rel. 33
- hkl 2 0 2, 2θ = 64.11°, rel. 23
- hkl 2 2 0, 2θ = 69.13°, rel. 10
- hkl 1 1 3, 2θ = 72.80°, rel. 14
- hkl 3 1 1, 2θ = 82.25°, rel. 20
- hkl 2 2 2, 2θ = 83.41°, rel. 11

Atomic structure:
Cell: 3.843 3.843 4.437 Å, 90.00 90.00 90.00°
Space group P4/mmm (No. 123)
Asymmetric unit:
Cd 0.000 0.000 0.000 (multiplicity 1)
Cu 0.000 0.500 0.500 (multiplicity 2)
Ni 0.500 0.500 0.000 (multiplicity 1)
C 0.000 0.000 0.500 (multiplicity 1)

Sc2Cd2Pd3: theoretical X-ray diffraction stick pattern (Cu Kα X-rays), based on a GGA-PBE-relaxed structure.

Top 10 peaks for 2θ from 10° to 90°, low angle first:
- hkl 1 0 0, 2θ = 22.57°, rel. 50
- hkl 1 0 1, 2θ = 23.66°, rel. 18
- hkl 1 0 -2, 2θ = 36.37°, rel. 20
- hkl 1 1 3, 2θ = 36.54°, rel. 40
- hkl 1 -1 0, 2θ = 38.89°, rel. 50
- hkl 2 1 1, 2θ = 38.99°, rel. 100
- hkl 0 1 3, 2θ = 39.90°, rel. 80
- hkl 1 0 3, 2θ = 40.04°, rel. 40
- hkl 2 0 -2, 2θ = 56.83°, rel. 14
- hkl 3 0 1, 2θ = 70.49°, rel. 16

Atomic structure:
Cell: 4.620 4.620 7.752 Å, 72.69 72.96 60.18°
Space group P-1 (No. 2)
Asymmetric unit:
Sc 0.115 0.116 0.154 (multiplicity 2)
Cd 0.370 0.368 0.394 (multiplicity 2)
Pd 0.241 0.240 0.779 (multiplicity 2)
Pd 0.500 0.500 0.000 (multiplicity 1)

NaEuDyGa: theoretical X-ray diffraction stick pattern (Cu Kα X-rays), based on a GGA-PBE-relaxed structure.

Top 10 peaks for 2θ from 10° to 90°, low angle first:
- hkl 2 0 0, 2θ = 23.39°, rel. 33
- hkl 2 2 0, 2θ = 33.32°, rel. 100
- hkl 2 2 2, 2θ = 41.11°, rel. 10
- hkl 4 0 0, 2θ = 47.83°, rel. 18
- hkl 4 2 0, 2θ = 53.90°, rel. 14
- hkl 4 2 2, 2θ = 59.54°, rel. 37
- hkl 4 4 0, 2θ = 69.96°, rel. 11
- hkl 6 0 0, 2θ = 74.90°, rel. 7
- hkl 6 2 0, 2θ = 79.73°, rel. 16
- hkl 6 2 2, 2θ = 84.48°, rel. 4

Atomic structure:
Cell: 7.607 7.607 7.607 Å, 90.00 90.00 90.00°
Space group F-43m (No. 216)
Asymmetric unit:
Na 0.000 0.000 0.000 (multiplicity 4)
Eu 0.250 0.250 0.750 (multiplicity 4)
Dy 0.250 0.250 0.250 (multiplicity 4)
Ga 0.000 0.000 0.500 (multiplicity 4)

Mn2Re3: theoretical X-ray diffraction stick pattern (Cu Kα X-rays), based on a GGA-PBE-relaxed structure.

Top 10 peaks for 2θ from 10° to 90°, low angle first:
- hkl 0 0 6, 2θ = 16.32°, rel. 20
- hkl 0 0 9, 2θ = 24.58°, rel. 20
- hkl 1 0 4, 2θ = 40.24°, rel. 13
- hkl 0 1 5, 2θ = 41.13°, rel. 100
- hkl 0 0 15, 2θ = 41.56°, rel. 31
- hkl 1 0 10, 2θ = 47.98°, rel. 63
- hkl 1 1 0, 2θ = 69.90°, rel. 21
- hkl 0 1 20, 2θ = 70.50°, rel. 19
- hkl 2 0 5, 2θ = 84.44°, rel. 13
- hkl 1 1 15, 2θ = 84.72°, rel. 24

Atomic structure:
Cell: 2.6914 2.6914 32.5975 Å, 90.00 90.00 120.00°
Space group R-3m (No. 166, hexagonal axes)
Asymmetric unit:
Mn 0.0000 0.0000 0.1008 (multiplicity 6)
Re 0.0000 0.0000 0.2968 (multiplicity 6)
Re 0.0000 0.0000 0.5000 (multiplicity 3)

NdZn2Pt10: theoretical X-ray diffraction stick pattern (Cu Kα X-rays), based on a GGA-PBE-relaxed structure.

Top 10 peaks for 2θ from 10° to 90°, low angle first:
- hkl 2 0 0, 2θ = 33.79°, rel. 29
- hkl 1 3 3, 2θ = 34.16°, rel. 46
- hkl 2 2 2, 2θ = 39.37°, rel. 100
- hkl 0 4 4, 2θ = 39.79°, rel. 57
- hkl 1 5 1, 2θ = 39.98°, rel. 55
- hkl 2 0 4, 2θ = 44.15°, rel. 43
- hkl 0 2 6, 2θ = 44.40°, rel. 36
- hkl 2 4 0, 2θ = 44.51°, rel. 36
- hkl 1 5 3, 2θ = 44.81°, rel. 22
- hkl 2 6 6, 2θ = 71.94°, rel. 26

Atomic structure:
Cell: 5.305 12.695 12.940 Å, 90.00 90.00 90.00°
Space group Fmmm (No. 69)
Asymmetric unit:
Nd 0.000 0.000 0.000 (multiplicity 4)
Zn 0.250 0.250 0.000 (multiplicity 8)
Pt 0.000 0.112 0.394 (multiplicity 16)
Pt 0.000 0.177 0.169 (multiplicity 16)
Pt 0.250 0.000 0.250 (multiplicity 8)